# 1
Diffraction record for RbPH2O4. The powder XRD pattern is theoretical, not measured: it uses a structure optimized by DFT (GGA-PBE) and CuKα.
Lines closer than 0.1° are merged.

Top 6 peaks for 2θ from 15° to 90°, low angle first:
24.01°, d 3.707, I = 100, (1 1 -2)
24.47°, d 3.637, I = 44, (2 0 0)
28.45°, d 3.137, I = 31, (0 2 0)
29.71°, d 3.007, I = 54, (1 1 2)
37.87°, d 2.376, I = 26, (2 2 0)
38.87°, d 2.317, I = 36, (3 1 -2)

Cell and atoms:
```
data_RbPH2O4
_symmetry_space_group_name_H-M 'P 1 21/c 1'
_symmetry_Int_Tables_number 14
_cell_length_a 7.6680
_cell_length_b 6.2747
_cell_length_c 9.6822
_cell_angle_alpha 90.00
_cell_angle_beta 108.44
_cell_angle_gamma 90.00
loop_
_symmetry_equiv_pos_as_xyz
'x,y,z'
'-x,-y,-z'
'-x,y+1/2,-z+1/2'
'x,-y+1/2,z+1/2'
loop_
_atom_site_label
_atom_site_type_symbol
_atom_site_fract_x
_atom_site_fract_y
_atom_site_fract_z
Rb1 Rb 0.2369 0.2428 0.2189
P1 P 0.2582 0.7458 0.4806
H1 H 0.1358 0.7364 0.1633
H2 H 0.5000 0.0000 0.0000
H3 H 0.5000 0.0000 0.5000
O1 O 0.0986 0.7406 0.5526
O2 O 0.1683 0.6906 0.3213
O3 O 0.3453 0.5269 0.0054
O4 O 0.4034 0.5779 0.5635
```

# 2
Diffraction record for AsS4N3. The powder XRD pattern is theoretical, not measured: it uses a structure optimized by DFT (GGA-PBE) and CuKα.
Lines closer than 0.1° are merged.

Top 6 peaks for 2θ from 15° to 90°, low angle first:
15.36°, d 5.770, I = 42, (1 1 1)
17.21°, d 5.153, I = 100, (0 2 0)
21.07°, d 4.216, I = 83, (1 0 2)
22.79°, d 3.901, I = 41, (1 1 2)
27.34°, d 3.262, I = 26, (1 2 2)
32.48°, d 2.757, I = 18, (2 3 1)

Cell and atoms:
```
data_AsS4N3
_symmetry_space_group_name_H-M 'P n m a'
_symmetry_Int_Tables_number 62
_cell_length_a 10.6991
_cell_length_b 10.3053
_cell_length_c 9.1716
_cell_angle_alpha 90.00
_cell_angle_beta 90.00
_cell_angle_gamma 90.00
loop_
_symmetry_equiv_pos_as_xyz
'x,y,z'
'-x,-y,-z'
'-x+1/2,-y,z+1/2'
'x+1/2,y,-z+1/2'
'x+1/2,-y+1/2,-z+1/2'
'-x+1/2,y+1/2,z+1/2'
'-x,y+1/2,-z'
'x,-y+1/2,z'
loop_
_atom_site_label
_atom_site_type_symbol
_atom_site_fract_x
_atom_site_fract_y
_atom_site_fract_z
As1 As 0.2493 0.2500 0.0942
S1 S 0.0352 0.2500 0.7348
S2 S 0.0628 0.6500 0.6448
S3 S 0.0844 0.7500 0.0542
N1 N 0.0244 0.6352 0.1600
N2 N 0.2024 0.2500 0.2852
```

# 3
Diffraction record for K2TeBr6. The powder XRD pattern is theoretical, not measured: it uses a structure optimized by DFT (GGA-PBE) and CuKα.
Lines closer than 0.1° are merged.

Top 6 peaks for 2θ from 15° to 90°, low angle first:
16.21°, d 5.467, I = 48, (2 0 0)
28.28°, d 3.156, I = 83, (2 2 2)
32.76°, d 2.733, I = 100, (4 0 0)
47.02°, d 1.933, I = 70, (4 4 0)
55.77°, d 1.648, I = 34, (6 2 2)
78.20°, d 1.222, I = 31, (8 4 0)

Cell and atoms:
```
data_K2TeBr6
_symmetry_space_group_name_H-M 'F m -3 m'
_symmetry_Int_Tables_number 225
_symmetry_space_group_name_Hall '-F 4 2 3'
_cell_length_a 10.9333
_cell_length_b 10.9333
_cell_length_c 10.9333
_cell_angle_alpha 90.00
_cell_angle_beta 90.00
_cell_angle_gamma 90.00
loop_
_atom_site_label
_atom_site_type_symbol
_atom_site_fract_x
_atom_site_fract_y
_atom_site_fract_z
K1 K 0.2500 0.2500 0.2500
Te1 Te 0.0000 0.0000 0.0000
Br1 Br 0.0000 0.0000 0.2497
```

# 4
Diffraction record for LiLuPd2. The powder XRD pattern is theoretical, not measured: it uses a structure optimized by DFT (GGA-PBE) and CuKα.
Lines closer than 0.1° are merged.

Top 6 peaks for 2θ from 15° to 90°, low angle first:
23.52°, d 3.782, I = 44, (1 1 1)
38.89°, d 2.316, I = 100, (2 2 0)
45.95°, d 1.975, I = 23, (3 1 1)
56.17°, d 1.638, I = 17, (4 0 0)
70.42°, d 1.337, I = 34, (4 2 2)
83.48°, d 1.158, I = 11, (4 4 0)

Cell and atoms:
```
data_LiLuPd2
_symmetry_space_group_name_H-M 'F m -3 m'
_symmetry_Int_Tables_number 225
_symmetry_space_group_name_Hall '-F 4 2 3'
_cell_length_a 6.5506
_cell_length_b 6.5506
_cell_length_c 6.5506
_cell_angle_alpha 90.00
_cell_angle_beta 90.00
_cell_angle_gamma 90.00
loop_
_atom_site_label
_atom_site_type_symbol
_atom_site_fract_x
_atom_site_fract_y
_atom_site_fract_z
Li1 Li 0.0000 0.0000 0.0000
Lu1 Lu 0.0000 0.0000 0.5000
Pd1 Pd 0.2500 0.2500 0.2500
```

# 5
Diffraction record for Tb4Fe29Si5. The powder XRD pattern is theoretical, not measured: it uses a structure optimized by DFT (GGA-PBE) and CuKα.
Lines closer than 0.1° are merged.

Top 6 peaks for 2θ from 15° to 90°, low angle first:
37.11°, d 2.423, I = 97, (2 0 4)
38.44°, d 2.342, I = 49, (2 2 -4)
43.12°, d 2.098, I = 100, (0 4 0)
43.33°, d 2.088, I = 98, (3 3 0)
43.48°, d 2.081, I = 97, (1 3 -4)
44.26°, d 2.047, I = 54, (4 0 -4)

Cell and atoms:
```
data_Tb4Fe29Si5
_symmetry_space_group_name_H-M 'C 1 2/m 1'
_symmetry_Int_Tables_number 12
_cell_length_a 9.5372
_cell_length_b 8.3918
_cell_length_c 12.6487
_cell_angle_alpha 90.00
_cell_angle_beta 99.46
_cell_angle_gamma 90.00
loop_
_symmetry_equiv_pos_as_xyz
'x,y,z'
'-x,-y,-z'
'-x,y,-z'
'x,-y,z'
'x+1/2,y+1/2,z'
'-x+1/2,-y+1/2,-z'
'-x+1/2,y+1/2,-z'
'x+1/2,-y+1/2,z'
loop_
_atom_site_label
_atom_site_type_symbol
_atom_site_fract_x
_atom_site_fract_y
_atom_site_fract_z
Tb1 Tb 0.1574 0.0000 0.4210
Tb2 Tb 0.1577 0.0000 0.9208
Fe1 Fe 0.0000 0.5000 0.0000
Fe2 Fe 0.0005 0.2041 0.2496
Fe3 Fe 0.0954 0.2540 0.0794
Fe4 Fe 0.0952 0.2544 0.5788
Fe5 Fe 0.0951 0.5000 0.7023
Fe6 Fe 0.0965 0.5000 0.2023
Fe7 Fe 0.1484 0.3516 0.8991
Fe8 Fe 0.1487 0.3519 0.3985
Fe9 Fe 0.1592 0.0000 0.1752
Fe10 Fe 0.1594 0.0000 0.6742
Si1 Si 0.0000 0.5000 0.5000
Si2 Si 0.2489 0.2501 0.7496
```